Starting from a DFT-relaxed cell (PBE, OQMD), the X-ray powder pattern of K3AgSn3Se8 was calculated for Cu Kα.
Intensities are scaled so that the largest is 100.

a b c (Å): 8.313 8.313 13.659
angles (deg): 90.00 90.00 90.00
Space group P4/nbm (No. 125, origin choice 2)
One atom of each set of equivalent atoms:
K (0.250, 0.250, 0.000) (multiplicity 2)
K (0.250, 0.250, 0.274) (multiplicity 4)
Ag (0.250, 0.750, 0.000) (multiplicity 2)
Sn (0.250, 0.750, 0.240) (multiplicity 4)
Sn (0.250, 0.750, 0.500) (multiplicity 2)
Se (0.072, 0.572, 0.138) (multiplicity 8)
Se (0.086, 0.586, 0.626) (multiplicity 8)

Peak list (12 most intense, 2θ = 10–80°, by angle)
Position (°2θ)	Rel. int.	(hkl)
15.07	100	1 1 0
27.31	89	2 1 2
30.41	49	2 2 0
33.98	97	2 0 4
43.44	51	3 1 4
46.34	23	3 3 0
46.79	18	2 1 6
46.99	23	4 1 2
49.00	21	4 2 0
51.47	24	4 0 4
56.39	19	5 1 0
71.75	17	5 3 4

---

Starting from a DFT-relaxed cell (PBE, OQMD), the X-ray powder pattern of KTbAg3Se4 was calculated for Cu Kα.
Intensities are scaled so that the largest is 100.

a b c (Å): 6.618 6.618 6.618
angles (deg): 90.00 90.00 90.00
Space group P-43m (No. 215)
One atom of each set of equivalent atoms:
K (0.000, 0.000, 0.000) (multiplicity 1)
Tb (0.500, 0.500, 0.500) (multiplicity 1)
Ag (0.000, 0.500, 0.500) (multiplicity 3)
Se (0.267, 0.267, 0.267) (multiplicity 4)

Peak list (12 most intense, 2θ = 10–80°, by angle)
Position (°2θ)	Rel. int.	(hkl)
13.38	64	1 0 0
23.28	53	1 1 1
26.94	9	2 0 0
30.20	21	2 1 0
38.47	100	2 2 0
40.91	18	2 2 1
45.45	24	3 1 1
49.67	15	3 2 0
55.54	16	4 0 0
57.41	8	4 1 0
61.03	9	3 3 1
69.59	31	4 2 2

---

Starting from a DFT-relaxed cell (PBE, OQMD), the X-ray powder pattern of KTcAgTeSe2 was calculated for Cu Kα.
Intensities are scaled so that the largest is 100.

a b c (Å): 3.798 15.912 10.536
angles (deg): 90.00 90.00 90.00
Space group Cmcm (No. 63)
One atom of each set of equivalent atoms:
K (0.000, 0.234, 0.250) (multiplicity 4)
Tc (0.000, 0.000, 0.000) (multiplicity 4)
Ag (0.000, 0.447, 0.750) (multiplicity 4)
Te (0.000, 0.075, 0.750) (multiplicity 4)
Se (0.000, 0.387, 0.525) (multiplicity 8)

Peak list (12 most intense, 2θ = 10–80°, by angle)
Position (°2θ)	Rel. int.	(hkl)
11.12	100	0 2 0
30.16	50	1 3 1
33.64	26	1 3 2
34.04	30	0 0 4
35.91	12	0 2 4
38.83	12	1 3 3
40.76	25	1 5 2
45.26	10	1 5 3
47.90	12	2 0 0
48.95	13	0 8 2
52.58	16	1 3 5
60.06	11	2 0 4

---

Starting from a DFT-relaxed cell (PBE, OQMD), the X-ray powder pattern of K2Ag2TeSe was calculated for Cu Kα.
Intensities are scaled so that the largest is 100.

a b c (Å): 4.6964 4.6964 9.5807
angles (deg): 90.00 90.00 120.00
Space group P-6m2 (No. 187)
One atom of each set of equivalent atoms:
K (0.0000, 0.0000, 0.2397) (multiplicity 2)
Ag (0.3333, 0.6667, 0.5000) (multiplicity 1)
Ag (0.6667, 0.3333, 0.0000) (multiplicity 1)
Te (0.6667, 0.3333, 0.5000) (multiplicity 1)
Se (0.3333, 0.6667, 0.0000) (multiplicity 1)

Peak list (12 most intense, 2θ = 10–80°, by angle)
Position (°2θ)	Rel. int.	(hkl)
18.52	65	0 0 2
21.85	20	1 0 0
28.80	100	1 0 2
37.55	23	0 0 4
38.33	66	1 1 0
42.89	46	1 1 2
48.64	22	2 0 2
54.74	45	1 1 4
62.49	10	1 0 6
63.56	19	2 1 2
69.31	11	3 0 0
71.44	10	1 1 6

---

Starting from a DFT-relaxed cell (PBE, OQMD), the X-ray powder pattern of K2ZrAg2Se4 was calculated for Cu Kα.
Intensities are scaled so that the largest is 100.

a b c (Å): 6.243 13.818 6.230
angles (deg): 90.00 90.00 90.00
Space group C222 (No. 21)
One atom of each set of equivalent atoms:
K (0.250, 0.250, 0.248) (multiplicity 4)
Zr (0.000, 0.000, 0.500) (multiplicity 2)
Ag (0.000, 0.000, 0.000) (multiplicity 2)
Ag (0.000, 0.500, 0.500) (multiplicity 2)
Se (0.233, 0.112, 0.733) (multiplicity 8)

Peak list (12 most intense, 2θ = 10–80°, by angle)
Position (°2θ)	Rel. int.	(hkl)
12.81	89	0 2 0
15.57	21	1 1 0
21.15	44	1 1 1
28.01	100	1 3 1
31.48	64	2 2 0
38.91	82	2 4 0
40.93	61	2 0 2
43.06	18	2 2 2
49.18	42	2 6 0
50.33	34	3 3 1
69.08	20	2 8 2
73.19	22	2 4 4

---

Starting from a DFT-relaxed cell (PBE, OQMD), the X-ray powder pattern of LaLuAg2Pb2 was calculated for Cu Kα.
Intensities are scaled so that the largest is 100.

a b c (Å): 4.8524 4.8524 7.6089
angles (deg): 90.00 90.00 120.00
Space group P3m1 (No. 156)
One atom of each set of equivalent atoms:
La (0.0000, 0.0000, 0.0000) (multiplicity 1)
Lu (0.0000, 0.0000, 0.5035) (multiplicity 1)
Ag (0.3333, 0.6667, 0.6783) (multiplicity 1)
Ag (0.6667, 0.3333, 0.2175) (multiplicity 1)
Pb (0.3333, 0.6667, 0.2884) (multiplicity 1)
Pb (0.6667, 0.3333, 0.7743) (multiplicity 1)

Peak list (12 most intense, 2θ = 10–80°, by angle)
Position (°2θ)	Rel. int.	(hkl)
24.19	25	1 0 1
31.73	100	0 1 2
37.05	86	1 1 0
41.59	23	0 1 3
49.56	29	2 0 2
56.91	9	2 0 3
61.99	19	1 1 4
63.47	27	1 2 2
65.20	9	1 0 5
66.78	15	3 0 0
69.88	10	1 2 3
78.89	14	2 2 0

---

Starting from a DFT-relaxed cell (PBE, OQMD), the X-ray powder pattern of La2Mg4AgPt was calculated for Cu Kα.
Intensities are scaled so that the largest is 100.

a b c (Å): 8.335 4.417 10.549
angles (deg): 90.00 90.00 90.00
Space group Amm2 (No. 38)
One atom of each set of equivalent atoms:
La (0.000, 0.000, 0.000) (multiplicity 2)
La (0.500, 0.000, 0.120) (multiplicity 2)
Mg (0.203, 0.000, 0.710) (multiplicity 4)
Mg (0.312, 0.000, 0.407) (multiplicity 4)
Ag (0.000, 0.000, 0.288) (multiplicity 2)
Pt (0.500, 0.000, 0.833) (multiplicity 2)

Peak list (12 most intense, 2θ = 10–80°, by angle)
Position (°2θ)	Rel. int.	(hkl)
21.32	72	2 0 0
21.81	34	0 1 1
24.32	25	1 1 1
30.69	58	2 1 1
34.33	100	1 1 3
35.71	34	1 0 4
39.25	21	3 1 1
40.86	25	0 2 0
43.43	16	4 0 0
46.48	56	3 1 3
55.37	19	1 2 4
65.46	25	0 1 7

---

Starting from a DFT-relaxed cell (PBE, OQMD), the X-ray powder pattern of SrLaAgN was calculated for Cu Kα.
Intensities are scaled so that the largest is 100.

a b c (Å): 3.686 19.127 5.349
angles (deg): 90.00 90.00 90.00
Space group Cmcm (No. 63)
One atom of each set of equivalent atoms:
Sr (0.000, 0.208, 0.250) (multiplicity 4)
La (0.000, 0.397, 0.250) (multiplicity 4)
Ag (0.000, 0.038, 0.250) (multiplicity 4)
N (0.000, 0.186, 0.750) (multiplicity 4)

Peak list (12 most intense, 2θ = 10–80°, by angle)
Position (°2θ)	Rel. int.	(hkl)
29.81	69	1 1 1
32.69	100	0 6 1
33.51	48	0 0 2
33.77	58	1 5 0
37.84	16	1 5 1
48.31	41	1 5 2
49.47	19	2 0 0
57.63	11	1 1 3
59.39	20	0 6 3
60.56	24	2 6 1
61.07	20	2 0 2
61.46	15	1 11 1